This entry pairs a crystal structure of PuB4ClO8 with its calculated powder diffraction line list. Radiation: CuKα. Structure: a structure optimized by DFT (PBE).
Kinematic intensities with the Lorentz-polarization factor, no thermal factor.

Cell and atoms:
Cell lengths 6.6020, 11.3117, 9.4684 Å; angles 90.00, 107.51, 90.00 degrees
Space group Cc (No. 9)
One atom of each set of equivalent atoms:
1 Pu 0.0000 0.1992 0.0000
2 B 0.0685 0.2547 0.6745
3 B 0.1515 0.0535 0.6127
4 B 0.3141 0.4055 0.1593
5 B 0.4954 0.0337 0.0939
6 Cl 0.1408 0.1855 0.3293
7 O 0.0875 0.4262 0.0902
8 O 0.1026 0.2638 0.8377
9 O 0.1109 0.3654 0.6131
10 O 0.2199 0.1654 0.6508
11 O 0.2760 0.0366 0.0766
12 O 0.3487 0.2859 0.1129
13 O 0.3672 0.4092 0.3246
14 O 0.4557 0.4885 0.1111

Top 6 peaks for 5 to 70 degrees two-theta, by angle:
2θ (°)	Rel. int.	(hkl)
15.67	46	0 2 0
16.52	100	1 1 -1
19.66	36	0 0 2
21.00	43	1 1 1
29.86	35	1 1 -3
31.42	28	2 2 -1

---

This entry pairs a crystal structure of Y5Fe2Ag2 with its calculated powder diffraction line list. Radiation: CuKα. Structure: a structure optimized by DFT (PBE).
Kinematic intensities with the Lorentz-polarization factor, no thermal factor.

Cell and atoms:
Cell lengths 16.3571, 7.2230, 7.2893 Å; angles 90.00, 90.00, 90.00 degrees
Space group Cmce (No. 64)
One atom of each set of equivalent atoms:
1 Y 0.0000 0.0000 0.0000
2 Y 0.1277 0.1827 0.3165
3 Fe 0.0000 0.1031 0.6069
4 Ag 0.2212 0.0000 0.0000

Top 6 peaks for 5 to 70 degrees two-theta, by angle:
2θ (°)	Rel. int.	(hkl)
32.03	47	3 1 2
32.46	39	5 1 1
32.92	100	4 0 2
33.09	96	4 2 0
34.98	69	0 2 2
35.37	57	4 2 1

---

This entry pairs a crystal structure of CeCoGe3 with its calculated powder diffraction line list. Radiation: CuKα. Structure: a structure optimized by DFT (PBE).
Kinematic intensities with the Lorentz-polarization factor, no thermal factor.

Cell and atoms:
Cell lengths 4.3089, 4.3089, 9.7744 Å; angles 90.00, 90.00, 90.00 degrees
Space group I4mm (No. 107)
One atom of each set of equivalent atoms:
1 Ce 0.0000 0.0000 0.0000
2 Co 0.0000 0.0000 0.6715
3 Ge 0.0000 0.0000 0.4379
4 Ge 0.0000 0.5000 0.2624

Top 6 peaks for 5 to 70 degrees two-theta, by angle:
2θ (°)	Rel. int.	(hkl)
34.51	38	1 0 3
34.69	100	1 1 2
41.93	57	2 0 0
55.39	19	2 1 3
56.98	19	2 0 4
60.80	18	2 2 0

---

This entry pairs a crystal structure of Ca4Hg2Pb3 with its calculated powder diffraction line list. Radiation: CuKα. Structure: a structure optimized by DFT (PBE).
Kinematic intensities with the Lorentz-polarization factor, no thermal factor.

Cell and atoms:
Cell lengths 5.4551, 5.4551, 10.3749 Å; angles 90.00, 90.00, 120.00 degrees
Space group P-3m1 (No. 164)
One atom of each set of equivalent atoms:
1 Ca 0.0000 0.0000 0.1782
2 Ca 0.3333 0.6667 0.3971
3 Hg 0.3333 0.6667 0.7175
4 Pb 0.0000 0.0000 0.5000
5 Pb 0.3333 0.6667 0.0444

Top 6 peaks for 5 to 70 degrees two-theta, by angle:
2θ (°)	Rel. int.	(hkl)
20.66	51	0 1 1
25.50	22	0 1 2
32.07	100	1 0 3
32.84	96	1 1 0
46.56	36	0 2 3
58.14	37	2 1 3